Theoretical powder diffraction line list of MgMn2Br2O2 for CuKα, from the PBE+U geometry in Alexandria.
Peak positions follow from Bragg's law for the DFT cell and can differ from measured ones.

Main lines, in order of falling intensity (2θ = 15–90°):
| d [Å] | I (rel.) |
| --- | --- |
| 2.158 | 100.0 |
| 2.735 | 94.6 |
| 3.262 | 93.2 |
| 1.440 | 51.4 |
| 1.934 | 50.7 |
| 2.344 | 46.3 |
| 2.651 | 42.8 |
| 1.663 | 24.9 |
| 4.551 | 23.3 |
| 1.562 | 15.4 |
| 1.516 | 15.4 |
| 1.367 | 15.0 |

Crystal structure
```
MgMn2Br2O2
1.0
-1.9339 1.9339 9.1026
1.9339 -1.9339 9.1026
1.9339 1.9339 -9.1026
Mg Mn Br O
1 2 2 2
direct
0.0000 0.0000 0.0000 Mg
0.4234 0.4234 0.0000 Mn
0.5766 0.5766 0.0000 Mn
0.1547 0.1547 0.0000 Br
0.8453 0.8453 0.0000 Br
0.0000 0.5000 0.5000 O
0.5000 0.0000 0.5000 O
```